1.
This entry pairs a crystal structure of PrZrTe with its computed powder XRD pattern. Radiation: Cu Ka. Structure: a structure optimized by DFT (PBE).

Cell and atoms:
```
PrZrTe
1.0
4.339 0.000 0.000
0.000 4.339 0.000
0.000 0.000 8.611
Pr Zr Te
2 2 2
Direct
0.250 0.250 0.140
0.750 0.750 0.860
0.250 0.750 0.500
0.750 0.250 0.500
0.250 0.250 0.748
0.750 0.750 0.252
```

Principal peaks in the range 2θ = 5–70°, sorted by position:
two_theta	I (rel.)
29.10	44
29.22	59
30.94	84
31.16	28
35.94	100
37.57	55
41.63	72
52.90	25
57.31	32
57.58	29

***

2.
This entry pairs a crystal structure of Pr2ZrTe5 with its computed powder XRD pattern. Radiation: Cu Ka. Structure: a structure optimized by DFT (PBE).

Cell and atoms:
```
Pr2ZrTe5
1.0
3.053 -7.521 0.000
3.053 7.521 0.000
0.000 0.000 14.543
Pr Zr Te
4 2 10
Direct
0.153 0.847 0.561
0.153 0.847 0.939
0.847 0.153 0.061
0.847 0.153 0.439
0.189 0.811 0.250
0.811 0.189 0.750
0.047 0.953 0.124
0.047 0.953 0.376
0.276 0.724 0.750
0.313 0.687 0.090
0.313 0.687 0.410
0.687 0.313 0.590
0.687 0.313 0.910
0.724 0.276 0.250
0.953 0.047 0.624
0.953 0.047 0.876
```

Principal peaks in the range 2θ = 5–70°, sorted by position:
two_theta	I (rel.)
11.77	49
15.66	84
21.81	69
29.25	100
30.08	96
33.81	31
36.79	36
37.09	21
38.17	37
42.45	74

***

3.
This entry pairs a crystal structure of Pr3Th2 with its computed powder XRD pattern. Radiation: Cu Ka. Structure: a structure optimized by DFT (PBE).

Cell and atoms:
```
Pr3Th2
1.0
5.681 0.000 0.000
0.000 17.439 0.000
0.000 0.000 3.531
Pr Th
6 4
Direct
0.000 0.000 0.000
0.000 0.395 0.500
0.000 0.605 0.500
0.500 0.105 0.500
0.500 0.500 0.000
0.500 0.895 0.500
0.000 0.206 0.000
0.000 0.794 0.000
0.500 0.294 0.000
0.500 0.706 0.000
```

Principal peaks in the range 2θ = 5–70°, sorted by position:
two_theta	I (rel.)
10.14	21
30.07	100
30.24	63
31.50	46
32.63	38
33.63	18
45.99	30
55.19	18
56.55	22
61.05	27

***

4.
This entry pairs a crystal structure of Pr3Th with its computed powder XRD pattern. Radiation: Cu Ka. Structure: a structure optimized by DFT (PBE).

Cell and atoms:
```
Pr3Th
1.0
3.664 0.000 0.000
0.000 3.664 0.000
0.000 0.000 21.009
Pr Th
6 2
Direct
0.250 0.250 0.064
0.250 0.250 0.322
0.250 0.250 0.810
0.750 0.750 0.190
0.750 0.750 0.678
0.750 0.750 0.936
0.250 0.250 0.557
0.750 0.750 0.443
```

Principal peaks in the range 2θ = 5–70°, sorted by position:
two_theta	I (rel.)
8.42	5
29.73	100
32.42	4
34.14	16
34.62	34
49.42	23
49.77	12
58.42	12
59.06	29
61.74	12

***

5.
This entry pairs a crystal structure of PrTh with its computed powder XRD pattern. Radiation: Cu Ka. Structure: a structure optimized by DFT (PBE).

Cell and atoms:
```
PrTh
1.0
3.633 0.000 0.000
-1.816 3.146 0.000
0.000 0.000 35.751
Pr Th
6 6
Direct
0.000 0.000 0.121
0.000 0.000 0.879
0.333 0.667 0.545
0.333 0.667 0.788
0.667 0.333 0.212
0.667 0.333 0.455
0.000 0.000 0.294
0.000 0.000 0.706
0.333 0.667 0.373
0.333 0.667 0.961
0.667 0.333 0.039
0.667 0.333 0.627
```

Principal peaks in the range 2θ = 5–70°, sorted by position:
two_theta	I (rel.)
7.42	35
28.81	37
29.99	42
31.06	100
33.45	64
38.10	31
50.23	33
52.33	27
59.62	38
60.24	16

***

6.
This entry pairs a crystal structure of Pr5ThTl3 with its computed powder XRD pattern. Radiation: Cu Ka. Structure: a structure optimized by DFT (PBE).

Cell and atoms:
```
Pr5ThTl3
1.0
9.753 0.000 0.000
-4.877 8.446 0.000
0.000 0.000 6.898
Pr Th Tl
10 2 6
Direct
0.000 0.327 0.250
0.000 0.673 0.750
0.327 0.000 0.250
0.327 0.327 0.750
0.333 0.667 0.000
0.333 0.667 0.500
0.667 0.333 0.000
0.667 0.333 0.500
0.673 0.000 0.750
0.673 0.673 0.250
0.000 0.000 0.000
0.000 0.000 0.500
0.000 0.338 0.750
0.000 0.662 0.250
0.338 0.000 0.750
0.338 0.338 0.250
0.662 0.000 0.250
0.662 0.662 0.750
```

Principal peaks in the range 2θ = 5–70°, sorted by position:
two_theta	I (rel.)
10.47	2
22.33	2
25.83	3
31.78	100
41.40	6
45.56	17
53.11	4
56.62	29
63.23	17
66.41	6

***

7.
This entry pairs a crystal structure of Pr4ThTl3 with its computed powder XRD pattern. Radiation: Cu Ka. Structure: a structure optimized by DFT (PBE).

Cell and atoms:
```
Pr4ThTl3
1.0
3.717 0.000 0.000
0.000 5.704 0.000
0.000 0.000 11.706
Pr Th Tl
4 1 3
Direct
0.000 0.000 0.000
0.000 0.000 0.500
0.000 0.500 0.244
0.000 0.500 0.756
0.500 0.500 0.500
0.500 0.000 0.256
0.500 0.000 0.744
0.500 0.500 0.000
```

Principal peaks in the range 2θ = 5–70°, sorted by position:
two_theta	I (rel.)
30.55	29
31.36	28
32.57	100
44.35	21
49.01	8
55.59	22
56.60	21
58.86	9
59.35	9
68.22	12

***

8.
This entry pairs a crystal structure of PrTmTh14 with its computed powder XRD pattern. Radiation: Cu Ka. Structure: a structure optimized by DFT (PBE).

Cell and atoms:
```
PrTmTh14
1.0
11.606 0.000 0.000
0.000 3.588 6.224
0.000 -3.588 6.224
Pr Tm Th
1 1 14
Direct
0.000 0.000 0.000
0.000 0.499 0.499
0.000 0.495 0.998
0.000 0.998 0.495
0.250 0.665 0.665
0.251 0.166 0.664
0.251 0.664 0.166
0.252 0.166 0.166
0.500 0.332 0.332
0.500 0.332 0.831
0.500 0.831 0.332
0.500 0.832 0.832
0.748 0.166 0.166
0.749 0.166 0.664
0.749 0.664 0.166
0.750 0.665 0.665
```

Principal peaks in the range 2θ = 5–70°, sorted by position:
two_theta	I (rel.)
28.71	10
29.75	38
30.82	33
32.67	100
37.09	21
48.97	10
50.86	26
55.99	22
60.66	30
61.77	17

***

9.
This entry pairs a crystal structure of Pr4Tm4Th with its computed powder XRD pattern. Radiation: Cu Ka. Structure: a structure optimized by DFT (PBE).

Cell and atoms:
```
Pr4Tm4Th
1.0
-5.394 5.394 2.561
5.394 -5.394 2.561
5.394 5.394 -2.561
Pr Tm Th
4 4 1
Direct
0.164 0.164 0.328
0.164 0.836 0.000
0.836 0.164 0.000
0.836 0.836 0.672
0.165 0.500 0.665
0.500 0.165 0.665
0.500 0.835 0.335
0.835 0.500 0.335
0.500 0.500 0.000
```

Principal peaks in the range 2θ = 5–70°, sorted by position:
two_theta	I (rel.)
16.43	2
19.18	1
30.37	100
35.03	17
35.30	34
50.58	24
50.78	12
59.97	15
60.32	29
63.18	12

***

10.
This entry pairs a crystal structure of Pr6Tm8Th with its computed powder XRD pattern. Radiation: Cu Ka. Structure: a structure optimized by DFT (PBE).

Cell and atoms:
```
Pr6Tm8Th
1.0
4.523 2.612 7.000
-4.523 2.612 7.000
0.000 -5.223 7.000
Pr Tm Th
6 8 1
Direct
0.036 0.732 0.595
0.268 0.405 0.964
0.405 0.964 0.268
0.595 0.036 0.732
0.732 0.595 0.036
0.964 0.268 0.405
0.077 0.077 0.077
0.208 0.264 0.615
0.264 0.615 0.208
0.385 0.792 0.736
0.615 0.208 0.264
0.736 0.385 0.792
0.792 0.736 0.385
0.923 0.923 0.923
0.500 0.500 0.500
```

Principal peaks in the range 2θ = 5–70°, sorted by position:
two_theta	I (rel.)
30.49	45
31.22	77
31.39	100
31.95	56
32.34	18
34.78	16
36.73	26
52.60	15
55.31	19
60.00	17

***

11.
This entry pairs a crystal structure of Pr8Tm4Th with its computed powder XRD pattern. Radiation: Cu Ka. Structure: a structure optimized by DFT (PBE).

Cell and atoms:
```
Pr8Tm4Th
1.0
3.675 2.122 9.695
-3.675 2.122 9.695
0.000 -4.244 9.695
Pr Tm Th
8 4 1
Direct
0.206 0.754 0.754
0.213 0.213 0.213
0.246 0.246 0.794
0.246 0.794 0.246
0.754 0.206 0.754
0.754 0.754 0.206
0.787 0.787 0.787
0.794 0.246 0.246
0.000 0.000 0.000
0.000 0.500 0.500
0.500 0.000 0.500
0.500 0.500 0.000
0.500 0.500 0.500
```

Principal peaks in the range 2θ = 5–70°, sorted by position:
two_theta	I (rel.)
25.93	11
27.60	20
28.20	12
30.66	100
32.05	27
33.88	11
37.55	43
49.61	29
57.71	15
59.45	14

***

12.
This entry pairs a crystal structure of Pr8Tm3Th2 with its computed powder XRD pattern. Radiation: Cu Ka. Structure: a structure optimized by DFT (PBE).

Cell and atoms:
```
Pr8Tm3Th2
1.0
10.480 -3.780 0.000
10.480 3.780 0.000
-0.004 0.000 5.769
Pr Tm Th
8 3 2
Direct
0.101 0.689 0.000
0.174 0.174 0.501
0.311 0.899 0.000
0.367 0.367 0.500
0.633 0.633 0.500
0.689 0.101 0.000
0.826 0.826 0.499
0.899 0.311 0.000
0.222 0.778 0.500
0.500 0.500 0.000
0.778 0.222 0.500
0.258 0.258 0.001
0.742 0.742 0.999
```

Principal peaks in the range 2θ = 5–70°, sorted by position:
two_theta	I (rel.)
25.04	28
28.85	34
29.90	40
31.00	44
33.09	100
34.22	12
40.26	16
46.84	10
48.14	16
56.49	22

***

13.
This entry pairs a crystal structure of Pr4Tm7Th with its computed powder XRD pattern. Radiation: Cu Ka. Structure: a structure optimized by DFT (PBE).

Cell and atoms:
```
Pr4Tm7Th
1.0
7.114 0.000 0.000
-3.544 7.140 0.000
-1.688 -1.755 7.592
Pr Tm Th
4 7 1
Direct
0.005 0.168 0.170
0.256 0.669 0.171
0.744 0.331 0.829
0.995 0.832 0.830
0.000 0.500 0.500
0.251 0.004 0.499
0.254 0.337 0.828
0.497 0.827 0.828
0.503 0.173 0.172
0.746 0.663 0.172
0.749 0.996 0.501
0.500 0.500 0.500
```

Principal peaks in the range 2θ = 5–70°, sorted by position:
two_theta	I (rel.)
30.56	100
30.71	49
30.91	49
35.47	34
35.63	67
51.36	24
60.70	14
60.86	21
60.99	14
61.24	14